For K5C3N6, a structure optimized by DFT (PBE) gives the theoretical powder X-ray diffraction pattern in this record (Cu Kα (weighted mean of Kα1 and Kα2)).
Peak positions follow from Bragg's law for the DFT cell and can differ from measured ones.

Cell and atoms:
Lattice parameters (Å, degrees): 8.072 8.072 8.072 90.00 90.00 90.00
Space group Im-3m (No. 229)
One atom of each set of equivalent atoms:
K: 0.000 0.000 0.000
K: 0.250 0.250 0.250
C: 0.000 0.000 0.500
N: 0.000 0.000 0.346

The 8 most intense peaks (2θ from 10° to 90°), low angle first:
| d (Å) | intensity | h k l |
| --- | --- | --- |
| 2.854 | 100 | 2 2 0 |
| 2.553 | 11 | 3 1 0 |
| 2.330 | 8 | 2 2 2 |
| 2.018 | 19 | 4 0 0 |
| 1.805 | 7 | 4 2 0 |
| 1.648 | 20 | 4 2 2 |
| 1.427 | 7 | 4 4 0 |
| 1.276 | 14 | 6 2 0 |